# 1
# LaPm5Pr2Ho
Calculated powder diffraction line list, Cu Kα (weighted mean of Kα1 and Kα2). Input: a cell relaxed with GGA-PBE.
Peak positions follow from Bragg's law for the DFT cell and can differ from measured ones.

Main lines, in order of rising 2θ (2θ = 10–90°):
hkl 2 1 3, 2θ = 28.0°, intensity 49
hkl 2 2 0, 2θ = 28.3°, intensity 51
hkl 2 0 4, 2θ = 30.0°, intensity 100
hkl 3 1 0, 2θ = 31.8°, intensity 12
hkl 3 1 2, 2θ = 33.7°, intensity 13
hkl 3 2 1, 2θ = 36.8°, intensity 16
hkl 4 0 2, 2θ = 42.2°, intensity 21
hkl 0 0 8, 2θ = 45.3°, intensity 23
hkl 4 2 4, 2θ = 51.2°, intensity 23
hkl 2 2 8, 2θ = 54.3°, intensity 18

Cell lengths 8.908, 8.908, 15.989 Å; angles 90.00, 90.00, 90.00 degrees
Space group I4/mcm (No. 140)
Unique sites:
La 0.000 0.000 0.250 [4 per cell]
Pm 0.000 0.000 0.000 [4 per cell]
Pm 0.210 0.290 0.138 [16 per cell]
Pr 0.118 0.382 0.500 [8 per cell]
Ho 0.000 0.500 0.250 [4 per cell]

***

# 2
# Ho2Mg5Ag4
Calculated powder diffraction line list, Cu Kα (weighted mean of Kα1 and Kα2). Input: a cell relaxed with GGA-PBE.
Peak positions follow from Bragg's law for the DFT cell and can differ from measured ones.

Main lines, in order of rising 2θ (2θ = 10–90°):
hkl 0 0 2, 2θ = 12.1°, intensity 38
hkl 0 2 0, 2θ = 14.5°, intensity 40
hkl 0 0 4, 2θ = 24.4°, intensity 31
hkl 1 3 1, 2θ = 27.3°, intensity 42
hkl 2 0 0, 2θ = 30.5°, intensity 40
hkl 1 3 3, 2θ = 32.4°, intensity 100
hkl 2 2 0, 2θ = 33.9°, intensity 31
hkl 2 0 4, 2θ = 39.4°, intensity 37
hkl 1 5 3, 2θ = 44.2°, intensity 60
hkl 0 8 0, 2θ = 60.4°, intensity 25

Cell lengths 5.864, 12.248, 14.604 Å; angles 90.00, 90.00, 90.00 degrees
Space group Fmmm (No. 69)
Unique sites:
Ho 0.000 0.000 0.160 [8 per cell]
Mg 0.000 0.000 0.500 [4 per cell]
Mg 0.250 0.250 0.000 [8 per cell]
Mg 0.250 0.250 0.250 [8 per cell]
Ag 0.000 0.117 0.353 [16 per cell]